Diffraction record for Er3Si6Ni2Ir. The X-ray powder pattern is simulated, not measured: it uses a PBE-relaxed structure and copper Kα.

The 12 most intense peaks (2θ = 10–80°), by angle:
2θ (°)  I (rel.)  h k l
11.4  21  0 0 1
29.5  69  0 1 2
31.9  100  1 1 0
38.8  17  0 2 1
39.6  60  1 1 2
44.0  38  2 0 2
50.7  26  0 1 4
55.3  21  1 2 2
56.8  18  3 0 0
62.0  22  0 3 2
66.6  18  2 2 0
70.7  22  1 2 4

Atomic structure:
Unit cell a=5.6153 b=5.6153 c=7.7464 alpha=90.00 beta=90.00 gamma=120.00
Space group P-3m1 (No. 164)
One atom of each set of equivalent atoms:
Er 0.0000 0.0000 0.0000 (multiplicity 1)
Er 0.3333 0.6667 0.6118 (multiplicity 2)
Si 0.1895 0.3791 0.2818 (multiplicity 6)
Ni 0.3333 0.6667 0.0393 (multiplicity 2)
Ir 0.0000 0.0000 0.5000 (multiplicity 1)